# Y7Er2Tm2
Computed powder X-ray diffraction pattern, Cu Kα X-rays. Input: a PBE-relaxed structure.
Lines closer than 0.1° are merged.

Cell and atoms:
Lattice parameters (Å, degrees): 6.489 6.489 8.594 97.49 97.49 92.60
Element x y z (fractional)
Y1 0.000 0.000 0.000
Y2 0.080 0.451 0.790
Y3 0.155 0.155 0.411
Y4 0.451 0.080 0.790
Y5 0.549 0.920 0.210
Y6 0.845 0.845 0.589
Y7 0.920 0.549 0.210
Er1 0.396 0.396 0.144
Er2 0.604 0.604 0.856
Tm1 0.325 0.675 0.500
Tm2 0.675 0.325 0.500

Most intense lines, 2θ = 10–90°, in order of rising 2θ:
- 13.79°, I = 36
- 31.14°, I = 45
- 31.80°, I = 100
- 32.03°, I = 58
- 32.64°, I = 64
- 32.81°, I = 94
- 32.96°, I = 60
- 36.05°, I = 35
- 47.20°, I = 23
- 55.11°, I = 24
- 58.27°, I = 22
- 59.03°, I = 29

---

# ErTm5Mg4
Computed powder X-ray diffraction pattern, Cu Kα X-rays. Input: a PBE-relaxed structure.
Lines closer than 0.1° are merged.

Cell and atoms:
Lattice parameters (Å, degrees): 3.579 3.579 21.404 90.00 90.00 90.00
Element x y z (fractional)
Er1 0.000 0.000 0.000
Tm1 0.500 0.500 0.112
Tm2 0.500 0.500 0.310
Tm3 0.500 0.500 0.500
Tm4 0.500 0.500 0.690
Tm5 0.500 0.500 0.888
Mg1 0.000 0.000 0.213
Mg2 0.000 0.000 0.405
Mg3 0.000 0.000 0.595
Mg4 0.000 0.000 0.787

Most intense lines, 2θ = 10–90°, in order of rising 2θ:
- 20.75°, I = 19
- 24.89°, I = 33
- 30.04°, I = 9
- 32.61°, I = 100
- 35.47°, I = 44
- 41.45°, I = 13
- 42.22°, I = 10
- 51.03°, I = 15
- 56.29°, I = 16
- 57.59°, I = 8
- 61.89°, I = 32
- 68.32°, I = 9

---

# IrAu5
Computed powder X-ray diffraction pattern, Cu Kα X-rays. Input: a PBE-relaxed structure.
Lines closer than 0.1° are merged.

Cell and atoms:
Lattice parameters (Å, degrees): 5.780 5.780 6.904 106.45 106.45 28.45
Element x y z (fractional)
Ir1 0.000 0.000 0.000
Au1 0.295 0.295 0.073
Au2 0.333 0.333 0.670
Au3 0.617 0.617 0.750
Au4 0.665 0.665 0.325
Au5 0.956 0.956 0.407

Most intense lines, 2θ = 10–90°, in order of rising 2θ:
- 35.88°, I = 38
- 36.37°, I = 26
- 36.50°, I = 78
- 39.84°, I = 34
- 40.58°, I = 100
- 41.01°, I = 31
- 41.16°, I = 95
- 64.80°, I = 27
- 68.04°, I = 22
- 69.27°, I = 20
- 77.59°, I = 27
- 79.70°, I = 18

---

# NdDy5Sc2
Computed powder X-ray diffraction pattern, Cu Kα X-rays. Input: a PBE-relaxed structure.
Lines closer than 0.1° are merged.

Cell and atoms:
Lattice parameters (Å, degrees): 6.984 6.984 6.984 120.36 120.36 89.38
Element x y z (fractional)
Nd1 0.000 0.000 0.000
Dy1 0.000 0.000 0.500
Dy2 0.000 0.500 0.000
Dy3 0.499 0.499 0.000
Dy4 0.500 0.000 0.000
Dy5 0.500 0.500 0.500
Sc1 0.000 0.500 0.500
Sc2 0.500 0.000 0.500

Most intense lines, 2θ = 10–90°, in order of rising 2θ:
- 18.06°, I = 8
- 25.51°, I = 7
- 31.43°, I = 100
- 36.18°, I = 17
- 36.59°, I = 33
- 52.41°, I = 24
- 52.71°, I = 12
- 62.13°, I = 14
- 62.67°, I = 27
- 65.61°, I = 12
- 85.79°, I = 12
- 86.28°, I = 6

---

# Pu4GeH4
Computed powder X-ray diffraction pattern, Cu Kα X-rays. Input: a PBE-relaxed structure.
Lines closer than 0.1° are merged.

Cell and atoms:
Lattice parameters (Å, degrees): 6.117 6.117 7.481 90.00 90.00 90.00
Element x y z (fractional)
Pu1 0.015 0.250 0.083
Pu2 0.250 0.015 0.583
Pu3 0.250 0.485 0.583
Pu4 0.485 0.250 0.083
Pu5 0.515 0.750 0.917
Pu6 0.750 0.515 0.417
Pu7 0.750 0.985 0.417
Pu8 0.985 0.750 0.917
Ge1 0.250 0.750 0.250
Ge2 0.750 0.250 0.750
H1 0.027 0.250 0.399
H2 0.250 0.027 0.899
H3 0.250 0.473 0.899
H4 0.473 0.250 0.399
H5 0.527 0.750 0.601
H6 0.750 0.527 0.101
H7 0.750 0.973 0.101
H8 0.973 0.750 0.601

Most intense lines, 2θ = 10–90°, in order of rising 2θ:
- 27.96°, I = 40
- 31.60°, I = 100
- 34.92°, I = 26
- 39.00°, I = 22
- 40.87°, I = 20
- 41.77°, I = 26
- 48.63°, I = 18
- 49.46°, I = 17
- 58.47°, I = 13
- 59.88°, I = 20
- 60.55°, I = 12
- 69.94°, I = 31

---

# CdHg4Se5
Computed powder X-ray diffraction pattern, Cu Kα X-rays. Input: a PBE-relaxed structure.
Lines closer than 0.1° are merged.

Cell and atoms:
Lattice parameters (Å, degrees): 15.927 15.927 15.927 164.05 164.05 22.63
Element x y z (fractional)
Cd1 0.000 0.000 0.000
Hg1 0.200 0.200 0.000
Hg2 0.401 0.401 0.000
Hg3 0.599 0.599 0.000
Hg4 0.800 0.800 0.000
Se1 0.150 0.650 0.500
Se2 0.350 0.850 0.500
Se3 0.549 0.049 0.500
Se4 0.750 0.250 0.500
Se5 0.951 0.451 0.500

Most intense lines, 2θ = 10–90°, in order of rising 2θ:
- 24.67°, I = 100
- 28.57°, I = 14
- 40.84°, I = 70
- 48.30°, I = 50
- 50.59°, I = 4
- 59.13°, I = 12
- 65.06°, I = 21
- 66.96°, I = 4
- 66.98°, I = 2
- 74.36°, I = 24
- 79.73°, I = 16
- 88.51°, I = 8

---

# Na2RuCl6
Computed powder X-ray diffraction pattern, Cu Kα X-rays. Input: a PBE-relaxed structure.
Lines closer than 0.1° are merged.

Cell and atoms:
Lattice parameters (Å, degrees): 6.275 6.275 11.986 90.00 90.00 90.00
Element x y z (fractional)
Na1 0.000 0.000 0.168
Na2 0.000 0.000 0.832
Na3 0.500 0.500 0.332
Na4 0.500 0.500 0.668
Ru1 0.000 0.000 0.500
Ru2 0.500 0.500 0.000
Cl1 0.184 0.184 0.358
Cl2 0.184 0.184 0.642
Cl3 0.236 0.236 0.000
Cl4 0.264 0.736 0.500
Cl5 0.316 0.684 0.142
Cl6 0.316 0.684 0.858
Cl7 0.684 0.316 0.142
Cl8 0.684 0.316 0.858
Cl9 0.736 0.264 0.500
Cl10 0.764 0.764 0.000
Cl11 0.816 0.816 0.358
Cl12 0.816 0.816 0.642

Most intense lines, 2θ = 10–90°, in order of rising 2θ:
- 14.78°, I = 36
- 15.94°, I = 100
- 20.01°, I = 75
- 24.97°, I = 15
- 26.45°, I = 20
- 30.10°, I = 56
- 31.89°, I = 18
- 39.23°, I = 60
- 40.67°, I = 29
- 49.17°, I = 33
- 50.06°, I = 18
- 55.58°, I = 14

---

# Zr5Sc5Ge6
Computed powder X-ray diffraction pattern, Cu Kα X-rays. Input: a PBE-relaxed structure.
Lines closer than 0.1° are merged.

Cell and atoms:
Lattice parameters (Å, degrees): 5.709 8.010 8.010 119.73 90.00 90.00
Element x y z (fractional)
Zr1 0.000 0.000 0.000
Zr2 0.000 0.507 0.753
Zr3 0.000 0.753 0.507
Zr4 0.500 0.001 0.754
Zr5 0.500 0.754 0.001
Sc1 0.249 0.085 0.419
Sc2 0.249 0.419 0.085
Sc3 0.500 0.504 0.504
Sc4 0.751 0.085 0.419
Sc5 0.751 0.419 0.085
Ge1 0.000 0.143 0.753
Ge2 0.000 0.362 0.362
Ge3 0.000 0.753 0.143
Ge4 0.500 0.145 0.145
Ge5 0.500 0.362 0.751
Ge6 0.500 0.751 0.362

Most intense lines, 2θ = 10–90°, in order of rising 2θ:
- 22.18°, I = 18
- 31.34°, I = 44
- 33.95°, I = 12
- 34.20°, I = 17
- 37.68°, I = 100
- 37.78°, I = 46
- 38.72°, I = 71
- 38.84°, I = 32
- 39.01°, I = 13
- 60.02°, I = 25
- 60.11°, I = 16
- 76.12°, I = 12

---

# Th2Cd3In3
Computed powder X-ray diffraction pattern, Cu Kα X-rays. Input: a PBE-relaxed structure.
Lines closer than 0.1° are merged.

Cell and atoms:
Lattice parameters (Å, degrees): 4.705 4.781 9.312 90.00 90.00 90.00
Element x y z (fractional)
Th1 0.000 0.000 0.247
Th2 0.000 0.000 0.753
Cd1 0.000 0.500 0.500
Cd2 0.500 0.500 0.255
Cd3 0.500 0.500 0.745
In1 0.000 0.500 0.000
In2 0.500 0.000 0.000
In3 0.500 0.000 0.500

Most intense lines, 2θ = 10–90°, in order of rising 2θ:
- 18.56°, I = 3
- 32.92°, I = 100
- 37.63°, I = 17
- 38.26°, I = 17
- 38.68°, I = 16
- 54.75°, I = 12
- 55.06°, I = 11
- 55.53°, I = 11
- 64.95°, I = 14
- 65.80°, I = 13
- 66.37°, I = 13
- 69.03°, I = 11

---

# Tm4US5
Computed powder X-ray diffraction pattern, Cu Kα X-rays. Input: a PBE-relaxed structure.
Lines closer than 0.1° are merged.

Cell and atoms:
Lattice parameters (Å, degrees): 13.856 13.856 13.856 164.05 164.05 22.63
Element x y z (fractional)
Tm1 0.099 0.099 0.000
Tm2 0.301 0.301 0.000
Tm3 0.699 0.699 0.000
Tm4 0.901 0.901 0.000
U1 0.500 0.500 0.000
S1 0.000 0.000 0.000
S2 0.200 0.200 0.000
S3 0.399 0.399 0.000
S4 0.601 0.601 0.000
S5 0.800 0.800 0.000

Most intense lines, 2θ = 10–90°, in order of rising 2θ:
- 23.37°, I = 1
- 28.44°, I = 91
- 32.79°, I = 1
- 32.96°, I = 100
- 47.30°, I = 72
- 56.12°, I = 44
- 58.85°, I = 25
- 69.12°, I = 12
- 76.37°, I = 18
- 78.72°, I = 22
- 78.74°, I = 11
- 88.02°, I = 26

---

# ErCd5Hg4
Computed powder X-ray diffraction pattern, Cu Kα X-rays. Input: a PBE-relaxed structure.
Lines closer than 0.1° are merged.

Cell and atoms:
Lattice parameters (Å, degrees): 8.564 8.564 6.962 113.28 113.28 33.33
Element x y z (fractional)
Er1 0.000 0.000 0.000
Cd1 0.000 0.000 0.500
Cd2 0.178 0.178 0.444
Cd3 0.341 0.341 0.843
Cd4 0.659 0.659 0.157
Cd5 0.822 0.822 0.556
Hg1 0.174 0.174 0.906
Hg2 0.497 0.497 0.722
Hg3 0.503 0.503 0.278
Hg4 0.826 0.826 0.094

Most intense lines, 2θ = 10–90°, in order of rising 2θ:
- 25.11°, I = 12
- 25.46°, I = 19
- 36.05°, I = 34
- 36.24°, I = 66
- 36.58°, I = 100
- 52.31°, I = 23
- 52.59°, I = 10
- 64.73°, I = 10
- 65.39°, I = 11
- 65.64°, I = 12
- 65.82°, I = 27
- 77.76°, I = 10

---

# Cs4PmCl7
Computed powder X-ray diffraction pattern, Cu Kα X-rays. Input: a PBE-relaxed structure.
Lines closer than 0.1° are merged.

Cell and atoms:
Lattice parameters (Å, degrees): 9.164 9.164 14.430 124.68 124.68 33.76
Element x y z (fractional)
Cs1 0.132 0.132 0.233
Cs2 0.360 0.360 0.137
Cs3 0.640 0.640 0.863
Cs4 0.868 0.868 0.767
Pm1 0.000 0.000 0.500
Cl1 0.115 0.115 0.985
Cl2 0.166 0.166 0.701
Cl3 0.405 0.405 0.640
Cl4 0.500 0.500 0.500
Cl5 0.595 0.595 0.360
Cl6 0.834 0.834 0.299
Cl7 0.885 0.885 0.015

Most intense lines, 2θ = 10–90°, in order of rising 2θ:
- 18.48°, I = 61
- 20.26°, I = 43
- 20.88°, I = 93
- 22.95°, I = 100
- 25.01°, I = 33
- 25.27°, I = 32
- 25.51°, I = 55
- 29.93°, I = 48
- 32.55°, I = 40
- 33.68°, I = 53
- 39.08°, I = 50
- 40.03°, I = 33

---

Question: Which formula does entry 12 have?
Answer: Cs4PmCl7